(1)
# Nd2Tm5Sc2
Computed powder diffractogram, Cu Ka. Input: a crystal structure in Alexandria, relaxed with PBE.
Lines closer than 0.1° are merged.

```
data_Nd2Tm5Sc2
_cell_length_a 6.0241
_cell_length_b 6.0279
_cell_length_c 9.1962
_cell_angle_alpha 90.06
_cell_angle_beta 109.09
_cell_angle_gamma 119.84
_symmetry_space_group_name_H-M 'P -1'
_symmetry_Int_Tables_number 2
_symmetry_space_group_name_Hall '-P 1'
loop_
_atom_site_label
_atom_site_type_symbol
_atom_site_fract_x
_atom_site_fract_y
_atom_site_fract_z
Nd1 Nd 0.1642 0.3354 0.9997
Tm1 Tm 0.0606 0.1125 0.3384
Tm2 Tm 0.2760 0.5568 0.6617
Tm3 Tm 0.5000 0.0000 0.0000
Sc1 Sc 0.3941 0.7830 0.3400
```

Principal peaks in the range 15 to 90 degrees two-theta, in order of rising 2θ:
2theta	I/Imax	(hkl)
31.5	100.0	2 -1 0
31.5	33.1	0 0 3
36.5	44.6	1 1 1
36.6	22.2	-2 1 3
52.5	15.8	3 0 -2
52.6	31.8	-3 3 1
62.5	13.9	2 2 -1
62.6	23.0	-4 2 3
62.7	18.2	-3 3 4
65.8	11.8	-2 4 2

***

(2)
# Na4Pd3O8
Computed powder diffractogram, Cu Ka. Input: a crystal structure in Alexandria, relaxed with PBE.
Lines closer than 0.1° are merged.

```
data_Na4Pd3O8
_cell_length_a 6.2245
_cell_length_b 6.2245
_cell_length_c 17.2825
_cell_angle_alpha 90.00
_cell_angle_beta 90.00
_cell_angle_gamma 120.00
_symmetry_space_group_name_H-M 'R -3 m'
_symmetry_Int_Tables_number 166
_symmetry_space_group_name_Hall '-R 3 2"'
loop_
_atom_site_label
_atom_site_type_symbol
_atom_site_fract_x
_atom_site_fract_y
_atom_site_fract_z
Na1 Na 0.0000 0.0000 0.0000
Na2 Na 0.0000 0.0000 0.1461
Na3 Na 0.0000 0.0000 0.5000
Pd1 Pd 0.0000 0.5000 0.0000
O1 O 0.0000 0.0000 0.2766
O2 O 0.0281 0.5140 0.2676
```

Principal peaks in the range 15 to 90 degrees two-theta, in order of rising 2θ:
2theta	I/Imax	(hkl)
15.4	100.0	0 0 3
17.2	18.1	1 0 1
31.0	15.5	0 0 6
32.7	18.4	1 1 3
33.7	44.6	0 2 1
34.9	19.5	2 0 2
39.4	49.0	0 2 4
50.1	26.2	0 2 7
54.4	19.9	2 0 8
59.4	19.8	2 2 0

***

(3)
# Li2TbCd7
Computed powder diffractogram, Cu Ka. Input: a crystal structure in Alexandria, relaxed with PBE.
Lines closer than 0.1° are merged.

```
data_Li2TbCd7
_cell_length_a 4.9194
_cell_length_b 4.9194
_cell_length_c 10.7832
_cell_angle_alpha 90.00
_cell_angle_beta 90.00
_cell_angle_gamma 120.00
_symmetry_space_group_name_H-M 'P 3 m 1'
_symmetry_Int_Tables_number 156
_symmetry_space_group_name_Hall 'P 3 -2"'
loop_
_atom_site_label
_atom_site_type_symbol
_atom_site_fract_x
_atom_site_fract_y
_atom_site_fract_z
Li1 Li 0.0000 0.0000 0.0000
Li2 Li 0.3333 0.6667 0.8340
Tb1 Tb 0.6667 0.3333 0.3177
Cd1 Cd 0.0000 0.0000 0.2275
Cd2 Cd 0.0000 0.0000 0.4979
Cd3 Cd 0.0000 0.0000 0.7612
Cd4 Cd 0.3333 0.6667 0.1204
Cd5 Cd 0.3333 0.6667 0.4653
Cd6 Cd 0.6667 0.3333 0.6376
Cd7 Cd 0.6667 0.3333 0.9465
```

Principal peaks in the range 15 to 90 degrees two-theta, in order of rising 2θ:
2theta	I/Imax	(hkl)
26.7	24.2	1 0 2
32.6	96.7	1 0 3
36.5	100.0	1 1 0
39.6	28.4	1 0 4
49.8	28.7	0 2 3
54.9	10.5	0 2 4
63.3	27.1	2 1 3
65.8	16.9	3 0 0
67.8	10.9	2 1 4
86.8	11.5	1 3 3

***

(4)
# Ba4Mg2Zn5
Computed powder diffractogram, Cu Ka. Input: a crystal structure in Alexandria, relaxed with PBE.
Lines closer than 0.1° are merged.

```
data_Ba4Mg2Zn5
_cell_length_a 10.1582
_cell_length_b 21.7565
_cell_length_c 6.2660
_cell_angle_alpha 90.00
_cell_angle_beta 90.00
_cell_angle_gamma 90.00
_symmetry_space_group_name_H-M 'I b a m'
_symmetry_Int_Tables_number 72
_symmetry_space_group_name_Hall '-I 2 2c'
loop_
_atom_site_label
_atom_site_type_symbol
_atom_site_fract_x
_atom_site_fract_y
_atom_site_fract_z
Ba1 Ba 0.1294 0.1593 0.0000
Ba2 Ba 0.2233 0.4373 0.0000
Mg1 Mg 0.0000 0.3065 0.2500
Zn1 Zn 0.0000 0.0000 0.2500
Zn2 Zn 0.0879 0.4155 0.5000
Zn3 Zn 0.1858 0.2189 0.5000
```

Principal peaks in the range 15 to 90 degrees two-theta, in order of rising 2θ:
2theta	I/Imax	(hkl)
23.4	59.4	1 4 1
28.5	70.2	0 0 2
29.1	53.8	3 3 0
29.8	67.7	1 6 1
30.6	41.2	2 5 1
31.1	100.0	3 2 1
32.4	49.3	1 3 2
33.6	42.3	2 0 2
40.3	35.0	4 3 1
52.1	34.7	3 2 3

***

(5)
# Ac2Ga3IrPt12
Computed powder diffractogram, Cu Ka. Input: a crystal structure in Alexandria, relaxed with PBE.
Lines closer than 0.1° are merged.

```
data_Ac2Ga3IrPt12
_cell_length_a 6.8412
_cell_length_b 6.8412
_cell_length_c 26.7930
_cell_angle_alpha 90.00
_cell_angle_beta 90.00
_cell_angle_gamma 120.00
_symmetry_space_group_name_H-M 'R -3 m'
_symmetry_Int_Tables_number 166
_symmetry_space_group_name_Hall '-R 3 2"'
loop_
_atom_site_label
_atom_site_type_symbol
_atom_site_fract_x
_atom_site_fract_y
_atom_site_fract_z
Ac1 Ac 0.0000 0.0000 0.1550
Ga1 Ga 0.0000 0.5000 0.0000
Ir1 Ir 0.0000 0.0000 0.5000
Pt1 Pt 0.0482 0.5241 0.0963
Pt2 Pt 0.0633 0.5316 0.6213
```

Principal peaks in the range 15 to 90 degrees two-theta, in order of rising 2θ:
2theta	I/Imax	(hkl)
27.9	45.6	1 1 3
33.0	100.0	0 2 4
36.8	18.6	1 0 10
40.0	18.3	0 1 11
40.7	31.5	2 0 8
40.9	32.8	1 2 2
47.1	15.0	3 0 3
48.4	15.5	2 0 11
50.5	31.7	3 0 6
53.6	35.1	2 2 0

***

(6)
# Mg2H4Ir
Computed powder diffractogram, Cu Ka. Input: a crystal structure in Alexandria, relaxed with PBE.
Lines closer than 0.1° are merged.

```
data_Mg2H4Ir
_cell_length_a 3.1753
_cell_length_b 6.5230
_cell_length_c 3.6417
_cell_angle_alpha 90.00
_cell_angle_beta 90.01
_cell_angle_gamma 90.00
_symmetry_space_group_name_H-M 'P 1 m 1'
_symmetry_Int_Tables_number 6
_symmetry_space_group_name_Hall 'P -2y'
loop_
_atom_site_label
_atom_site_type_symbol
_atom_site_fract_x
_atom_site_fract_y
_atom_site_fract_z
Mg1 Mg 0.0000 0.2248 0.0000
H1 H 0.4984 0.2596 0.5020
H2 H 0.4993 0.0000 0.0022
H3 H 0.9966 0.5000 0.0032
Ir1 Ir 0.4990 0.0000 0.5014
```

Principal peaks in the range 15 to 90 degrees two-theta, in order of rising 2θ:
2theta	I/Imax	(hkl)
24.4	30.7	0 0 1
27.3	24.3	0 2 0
28.1	100.0	0 1 1
31.3	60.2	1 1 0
37.0	62.0	0 2 1
37.6	65.1	1 0 1
39.6	52.7	1 2 0
40.1	69.5	1 1 1
48.8	23.9	0 3 1
65.7	38.4	1 2 2

***

> What is the formula in the third record?

Li2TbCd7